No. 1
For V5Fe3, a PBE-relaxed structure gives the computed powder X-ray diffraction pattern in this record (Cu Kα, 1.54184 Å).
No peak broadening, texture or thermal motion is included.

Top 5 peaks for 5° ≤ 2θ ≤ 70°, low angle first:
2θ (°)  d [Å]  I (rel.)  hkl
22.91  3.882  7  0 0 3
44.09  2.054  1000  1 0 4
44.20  2.049  498  1 1 0
63.96  1.456  73  0 0 8
64.29  1.449  146  2 0 0

Structural model:
Unit cell a=2.898 b=2.898 c=11.645 alpha=90.00 beta=90.00 gamma=90.00
Space group P4/mmm (No. 123)
Unique sites:
V: 0.000 0.000 0.000 (multiplicity 1)
V: 0.000 0.000 0.246 (multiplicity 2)
V: 0.500 0.500 0.377 (multiplicity 2)
Fe: 0.000 0.000 0.500 (multiplicity 1)
Fe: 0.500 0.500 0.123 (multiplicity 2)

No. 2
For Zn2Cu2Rh, a PBE-relaxed structure gives the computed powder X-ray diffraction pattern in this record (Cu Kα, 1.54184 Å).
No peak broadening, texture or thermal motion is included.

Top 10 peaks for 5° ≤ 2θ ≤ 70°, low angle first:
2θ (°)  d [Å]  I (rel.)  hkl
20.75  4.282  23  0 0 1
25.31  3.518  23  1 1 0
28.07  3.179  21  2 0 0
37.19  2.418  17  2 0 -2
37.29  2.411  35  1 1 1
42.81  2.112  1000  0 2 0
43.02  2.102  957  2 0 1
58.03  1.589  15  4 0 0
62.18  1.493  101  4 0 -3
62.38  1.489  199  2 2 1

Structural model:
Unit cell a=7.324 b=4.220 c=4.935 alpha=90.00 beta=119.81 gamma=90.00
Space group C2/m (No. 12)
Unique sites:
Zn: 0.208 0.000 0.125 (multiplicity 4)
Cu: 0.096 0.500 0.289 (multiplicity 4)
Rh: 0.000 0.000 0.500 (multiplicity 2)

No. 3
For HoNpPa2C4, a PBE-relaxed structure gives the computed powder X-ray diffraction pattern in this record (Cu Kα, 1.54184 Å).
No peak broadening, texture or thermal motion is included.

Top 10 peaks for 5° ≤ 2θ ≤ 70°, low angle first:
2θ (°)  d [Å]  I (rel.)  hkl
30.52  2.929  1000  0 0 2
30.83  2.900  325  2 0 0
35.44  2.533  556  1 1 1
35.56  2.525  276  2 0 -2
50.85  1.796  300  0 2 0
51.25  1.782  294  2 0 2
60.43  1.532  104  0 2 2
60.60  1.528  256  1 1 3
60.76  1.524  102  3 1 -3
63.54  1.464  154  2 2 -2

Structural model:
Unit cell a=6.153 b=3.595 c=6.214 alpha=90.00 beta=109.51 gamma=90.00
Space group P2/m (No. 10)
Unique sites:
Ho: 0.000 0.000 0.000 (multiplicity 1)
Np: 0.000 0.500 0.500 (multiplicity 1)
Pa: 0.500 0.000 0.500 (multiplicity 1)
Pa: 0.500 0.500 0.000 (multiplicity 1)
C: 0.257 0.500 0.267 (multiplicity 2)
C: 0.259 0.000 0.750 (multiplicity 2)